The following is a computed powder XRD pattern of CsInGeTe4. It was derived from the PBE geometry in Alexandria, using Cu Kα (λ = 1.5418 Å).

Most intense lines, 10 to 90 degrees two-theta, in order of falling intensity:
hkl 1 0 2, 23.61°, intensity 100.0; hkl 1 2 -1, 25.32°, intensity 87.6; hkl 2 2 1, 35.52°, intensity 68.6; hkl 1 2 0, 24.55°, intensity 68.2; hkl 0 1 1, 13.72°, intensity 62.0; hkl 1 0 -3, 27.48°, intensity 52.5; hkl 0 2 0, 21.01°, intensity 36.9; hkl 0 4 0, 42.77°, intensity 36.0; hkl 2 1 -2, 30.21°, intensity 33.5; hkl 0 2 2, 27.64°, intensity 31.6

Cell and atoms:
Cell: 7.163 8.456 10.157 Å, 90.00 100.35 90.00°
Space group P2_1/m (No. 11)
One atom of each set of equivalent atoms:
Cs (0.228, 0.250, 0.078) (multiplicity 2)
In (0.356, 0.250, 0.672) (multiplicity 2)
Ge (0.140, 0.750, 0.315) (multiplicity 2)
Te (0.093, 0.007, 0.703) (multiplicity 4)
Te (0.325, 0.750, 0.113) (multiplicity 2)
Te (0.416, 0.750, 0.527) (multiplicity 2)



The following is a computed powder XRD pattern of Er2Tm3Se6. It was derived from the PBE geometry in Alexandria, using Cu Kα (λ = 1.5418 Å).

Most intense lines, 10 to 90 degrees two-theta, in order of falling intensity:
hkl 1 3 1, 31.58°, intensity 100.0; hkl 2 0 2, 45.20°, intensity 37.0; hkl 0 6 0, 45.33°, intensity 36.7; hkl 0 0 4, 56.30°, intensity 19.3; hkl 3 3 3, 74.91°, intensity 11.1; hkl 0 6 4, 75.10°, intensity 10.9; hkl 1 3 5, 83.64°, intensity 10.5; hkl 0 0 2, 27.29°, intensity 10.4; hkl 3 9 -1, 83.74°, intensity 8.3; hkl 2 6 2, 66.00°, intensity 7.9

Cell and atoms:
Cell: 6.960 11.993 6.936 Å, 90.00 109.50 90.00°
Space group C2/m (No. 12)
One atom of each set of equivalent atoms:
Er (0.000, 0.165, 0.000) (multiplicity 4)
Tm (0.000, 0.000, 0.500) (multiplicity 2)
Tm (0.000, 0.334, 0.500) (multiplicity 4)
Se (0.245, 0.500, 0.754) (multiplicity 4)
Se (0.247, 0.336, 0.249) (multiplicity 8)



The following is a computed powder XRD pattern of ZnH6. It was derived from the PBE geometry in Alexandria, using Cu Kα (λ = 1.5418 Å).

Most intense lines, 10 to 90 degrees two-theta, in order of falling intensity:
hkl 0 1 0, 14.89°, intensity 100.0; hkl 2 1 1, 30.15°, intensity 54.3; hkl 2 0 1, 26.06°, intensity 40.7; hkl 2 0 0, 17.50°, intensity 28.8; hkl 2 1 0, 23.05°, intensity 27.3; hkl 4 1 1, 43.46°, intensity 27.2; hkl 4 0 1, 40.58°, intensity 15.3; hkl 0 1 2, 41.86°, intensity 15.0; hkl 0 2 0, 30.03°, intensity 14.9; hkl 2 2 1, 40.18°, intensity 14.6

Cell and atoms:
Cell: 10.136 5.951 4.631 Å, 90.00 90.00 90.00°
Space group Pca2_1 (No. 29)
One atom of each set of equivalent atoms:
Zn (0.176, 0.048, 0.000) (multiplicity 4)
H (0.063, 0.738, 0.823) (multiplicity 4)
H (0.071, 0.215, 0.885) (multiplicity 4)
H (0.081, 0.697, 0.974) (multiplicity 4)
H (0.145, 0.457, 0.490) (multiplicity 4)
H (0.189, 0.945, 0.334) (multiplicity 4)
H (0.191, 0.513, 0.387) (multiplicity 4)



The following is a computed powder XRD pattern of Th3Al3Cu2. It was derived from the PBE geometry in Alexandria, using Cu Kα (λ = 1.5418 Å).

Most intense lines, 10 to 90 degrees two-theta, in order of falling intensity:
hkl 1 1 4, 32.34°, intensity 100.0; hkl 1 3 1, 32.95°, intensity 70.0; hkl 0 2 3, 24.52°, intensity 50.7; hkl 2 0 0, 40.50°, intensity 45.5; hkl 1 3 7, 54.17°, intensity 44.6; hkl 1 1 1, 22.44°, intensity 32.5; hkl 0 2 5, 34.42°, intensity 32.4; hkl 1 3 3, 37.17°, intensity 23.3; hkl 2 4 0, 53.84°, intensity 23.3; hkl 2 2 3, 47.90°, intensity 22.0

Cell and atoms:
Cell: 4.458 10.572 14.985 Å, 90.00 90.00 90.00°
Space group Cmcm (No. 63)
One atom of each set of equivalent atoms:
Th (0.000, 0.086, 0.114) (multiplicity 8)
Th (0.000, 0.373, 0.250) (multiplicity 4)
Al (0.000, 0.330, 0.750) (multiplicity 4)
Al (0.000, 0.377, 0.036) (multiplicity 8)
Cu (0.000, 0.207, 0.598) (multiplicity 8)



The following is a computed powder XRD pattern of Nd3Er4In4. It was derived from the PBE geometry in Alexandria, using Cu Kα (λ = 1.5418 Å).

Most intense lines, 10 to 90 degrees two-theta, in order of falling intensity:
hkl 0 0 6, 30.68°, intensity 100.0; hkl 2 0 0, 33.98°, intensity 54.2; hkl 1 2 5, 39.94°, intensity 27.7; hkl 0 1 5, 28.39°, intensity 16.9; hkl 1 1 4, 29.31°, intensity 15.1; hkl 1 2 11, 66.74°, intensity 14.2; hkl 3 2 1, 58.73°, intensity 13.1; hkl 1 1 6, 37.39°, intensity 11.8; hkl 2 4 0, 62.98°, intensity 11.3; hkl 2 0 6, 46.36°, intensity 11.0

Cell and atoms:
Cell: 5.282 7.120 17.517 Å, 90.00 90.00 90.00°
Space group Immm (No. 71)
One atom of each set of equivalent atoms:
Nd (0.000, 0.000, 0.000) (multiplicity 2)
Nd (0.000, 0.500, 0.105) (multiplicity 4)
Er (0.000, 0.268, 0.322) (multiplicity 8)
In (0.000, 0.000, 0.181) (multiplicity 4)
In (0.000, 0.211, 0.500) (multiplicity 4)